1.
For Sr3Si2Pd3, a structure optimized by DFT (PBE) gives the computed PXRD pattern in this record (Cu Kα).

Top 10 peaks for 10° ≤ 2θ ≤ 90°, low angle first:
2θ/deg  I_rel
29.76  73
30.92  52
31.49  43
31.89  29
32.45  53
35.50  26
35.62  40
35.76  59
36.52  100
39.17  41

```
Sr3Si2Pd3
1.0
8.0417 0.0000 0.0000
0.0000 15.1715 0.0000
0.0000 0.0000 6.1997
Sr Si Pd
12 8 12
direct
0.0183 0.1072 0.1370 Sr
0.0183 0.3928 0.1370 Sr
0.1598 0.2500 0.6109 Sr
0.3402 0.7500 0.1109 Sr
0.4817 0.6072 0.6370 Sr
0.4817 0.8928 0.6370 Sr
0.5183 0.1072 0.3630 Sr
0.5183 0.3928 0.3630 Sr
0.6598 0.2500 0.8891 Sr
0.8402 0.7500 0.3891 Sr
0.9817 0.6072 0.8630 Sr
0.9817 0.8928 0.8630 Sr
0.1417 0.5939 0.3697 Si
0.1417 0.9061 0.3697 Si
0.3583 0.0939 0.8697 Si
0.3583 0.4061 0.8697 Si
0.6417 0.5939 0.1303 Si
0.6417 0.9061 0.1303 Si
0.8583 0.0939 0.6303 Si
0.8583 0.4061 0.6303 Si
0.1494 0.0384 0.6101 Pd
0.1494 0.4616 0.6101 Pd
0.1854 0.7500 0.5465 Pd
0.3146 0.2500 0.0465 Pd
0.3506 0.5384 0.1101 Pd
0.3506 0.9616 0.1101 Pd
0.6494 0.0384 0.8899 Pd
0.6494 0.4616 0.8899 Pd
0.6854 0.7500 0.9535 Pd
0.8146 0.2500 0.4535 Pd
0.8506 0.5384 0.3899 Pd
0.8506 0.9616 0.3899 Pd
```

2.
For LiCe3In12, a structure optimized by DFT (PBE) gives the computed PXRD pattern in this record (Cu Kα).

Top 10 peaks for 10° ≤ 2θ ≤ 90°, low angle first:
2θ/deg  I_rel
30.61  3
33.23  100
38.42  34
38.85  15
55.46  11
55.78  21
66.20  26
66.79  11
69.77  10
82.30  4

```
LiCe3In12
1.0
4.6864 0.0000 0.0000
0.0000 4.6864 0.0000
0.0000 0.0000 18.5461
Li Ce In
1 3 12
direct
0.0000 0.0000 0.0000 Li
0.0000 0.0000 0.2436 Ce
0.0000 0.0000 0.5000 Ce
0.0000 0.0000 0.7564 Ce
0.0000 0.5000 0.1149 In
0.0000 0.5000 0.3720 In
0.0000 0.5000 0.6280 In
0.0000 0.5000 0.8851 In
0.5000 0.0000 0.1149 In
0.5000 0.0000 0.3720 In
0.5000 0.0000 0.6280 In
0.5000 0.0000 0.8851 In
0.5000 0.5000 0.0000 In
0.5000 0.5000 0.2490 In
0.5000 0.5000 0.5000 In
0.5000 0.5000 0.7510 In
```

3.
For Ca3Ga2Ni2, a structure optimized by DFT (PBE) gives the computed PXRD pattern in this record (Cu Kα).

Top 10 peaks for 10° ≤ 2θ ≤ 90°, low angle first:
2θ/deg  I_rel
15.41  28
20.25  40
20.47  30
33.20  56
34.25  25
35.41  28
37.58  52
38.83  30
39.12  100
47.24  20

```
Ca3Ga2Ni2
1.0
5.7494 0.0000 0.0000
0.0000 7.8961 0.0000
0.0000 0.0000 13.2246
Ca Ga Ni
12 8 8
direct
0.1417 0.1074 0.0989 Ca
0.1417 0.1074 0.4011 Ca
0.1417 0.3926 0.5989 Ca
0.1417 0.3926 0.9011 Ca
0.3580 0.7381 0.7500 Ca
0.3580 0.7619 0.2500 Ca
0.6420 0.2381 0.7500 Ca
0.6420 0.2619 0.2500 Ca
0.8583 0.6074 0.0989 Ca
0.8583 0.6074 0.4011 Ca
0.8583 0.8926 0.5989 Ca
0.8583 0.8926 0.9011 Ca
0.1715 0.0864 0.7500 Ga
0.1715 0.4136 0.2500 Ga
0.3843 0.7500 0.0000 Ga
0.3843 0.7500 0.5000 Ga
0.6157 0.2500 0.0000 Ga
0.6157 0.2500 0.5000 Ga
0.8285 0.5864 0.7500 Ga
0.8285 0.9136 0.2500 Ga
0.3756 0.0272 0.5880 Ni
0.3756 0.0272 0.9120 Ni
0.3756 0.4728 0.0880 Ni
0.3756 0.4728 0.4120 Ni
0.6244 0.5272 0.5880 Ni
0.6244 0.5272 0.9120 Ni
0.6244 0.9728 0.0880 Ni
0.6244 0.9728 0.4120 Ni
```

4.
For Ag5HgAu8, a structure optimized by DFT (PBE) gives the computed PXRD pattern in this record (Cu Kα).

Top 10 peaks for 10° ≤ 2θ ≤ 90°, low angle first:
2θ/deg  I_rel
26.55  64
34.32  87
34.42  68
35.24  82
38.09  41
40.95  66
41.22  90
41.66  100
46.69  46
70.78  34

```
Ag5HgAu8
1.0
-4.1313 4.1313 4.0154
4.1313 -4.1313 4.0154
4.1313 4.1313 -4.0154
Ag Hg Au
5 1 8
direct
0.0000 0.0000 0.0000 Ag
0.2191 0.5134 0.9154 Ag
0.4866 0.4020 0.7057 Ag
0.5980 0.3037 0.0846 Ag
0.6963 0.7809 0.2943 Ag
0.2500 0.7500 0.5000 Hg
0.1207 0.0575 0.6873 Au
0.3702 0.4334 0.3127 Au
0.4214 0.0210 0.2736 Au
0.5666 0.8793 0.9368 Au
0.7474 0.1478 0.7264 Au
0.8522 0.5786 0.5996 Au
0.9425 0.6298 0.0632 Au
0.9790 0.2526 0.4004 Au
```

5.
For InHgBi2O, a structure optimized by DFT (PBE) gives the computed PXRD pattern in this record (Cu Kα).

Top 10 peaks for 10° ≤ 2θ ≤ 90°, low angle first:
2θ/deg  I_rel
30.87  100
34.80  20
36.29  36
51.15  27
52.26  13
59.96  16
61.94  29
64.32  14
83.53  13
84.80  7

```
InHgBi2O
1.0
4.9514 0.0000 0.0000
0.0000 4.9514 0.0000
0.0000 0.0000 5.1560
In Hg Bi O
1 1 2 1
direct
0.0000 0.0000 0.0000 In
0.5000 0.5000 0.0000 Hg
0.0000 0.5000 0.5000 Bi
0.5000 0.0000 0.5000 Bi
0.0000 0.0000 0.5000 O
```

6.
For Sr2Pa3S8, a structure optimized by DFT (PBE) gives the computed PXRD pattern in this record (Cu Kα).

Top 10 peaks for 10° ≤ 2θ ≤ 90°, low angle first:
2θ/deg  I_rel
12.40  88
21.83  27
22.14  22
22.57  25
26.33  32
28.16  21
29.20  30
36.59  100
37.03  22
38.11  25

```
Sr2Pa3S8
1.0
4.8550 -7.1381 0.0000
4.8550 7.1381 0.0000
0.0000 0.0000 4.7227
Sr Pa S
2 3 8
direct
0.2328 0.7672 0.0000 Sr
0.7672 0.2328 0.0000 Sr
0.2243 0.2243 0.5000 Pa
0.5000 0.5000 0.0000 Pa
0.7757 0.7757 0.5000 Pa
0.1134 0.8866 0.5000 S
0.1523 0.3747 0.0000 S
0.3747 0.1523 0.0000 S
0.3934 0.6066 0.5000 S
0.6066 0.3934 0.5000 S
0.6253 0.8477 0.0000 S
0.8477 0.6253 0.0000 S
0.8866 0.1134 0.5000 S
```